This entry pairs a crystal structure of KSnMoF6 with its simulated PXRD pattern. Radiation: copper Kα. Structure: a GGA+U-relaxed structure.
Intensities are scaled so that the largest is 100.

The 10 most intense peaks (5 to 70 degrees two-theta), low angle first:
two_theta	I_rel	h k l
16.7	37	1 0 0
18.7	60	0 0 1
25.2	100	0 1 1
29.2	71	1 1 0
34.9	60	1 1 1
38.9	57	2 0 1
48.6	42	1 1 2
49.4	35	1 2 1
51.7	46	3 0 0
60.5	30	2 2 0

Cell and atoms:
Unit cell a=6.1205 b=6.1205 c=4.7391 alpha=90.00 beta=90.00 gamma=120.00
Atoms (fractional coordinates):
K 0.0000 0.0000 0.0000
Sn 0.6667 0.3333 0.4931
Mo 0.3333 0.6667 0.3844
F 0.0816 0.7391 0.6024
F 0.2609 0.3425 0.6024
F 0.4317 0.0150 0.1749
F 0.5833 0.5683 0.1749
F 0.6575 0.9184 0.6024
F 0.9850 0.4167 0.1749